Record 1
CsAuBrF2: calculated X-ray powder pattern (Cu Kα X-rays), based on DFT lattice parameters and positions (GGA-PBE).

Peak list (12 most intense, 2θ from 10° to 80°, low angle first)
2theta	d (Å)	I/Imax
17.96	4.940	37.2
24.41	3.647	100.0
25.50	3.493	99.6
33.14	2.703	33.5
36.38	2.470	53.3
42.27	2.138	47.7
44.29	2.045	38.0
50.02	1.823	38.8
52.39	1.746	17.5
59.15	1.562	21.9
63.41	1.467	18.0
69.50	1.352	27.9

Crystal structure
Cell: 6.9858 6.9858 10.8138 Å, 90.00 90.00 90.00°
Space group I4/mmm (No. 139)
Unique sites:
1 Cs 0.0000 0.5000 0.2500
2 Au 0.0000 0.0000 0.0000
3 Au 0.0000 0.0000 0.5000
4 Br 0.0000 0.0000 0.2226
5 F 0.2016 0.2016 0.5000


Record 2
Tb2GdSn6Pb: calculated X-ray powder pattern (Cu Kα X-rays), based on DFT lattice parameters and positions (GGA-PBE).

Peak list (12 most intense, 2θ from 10° to 80°, low angle first)
2theta	d (Å)	I/Imax
22.19	4.005	2.1
32.80	2.731	100.0
35.03	2.561	18.2
39.22	2.297	16.3
39.75	2.268	15.7
53.59	1.710	11.0
54.00	1.698	12.2
57.07	1.614	11.1
61.43	1.509	11.7
67.04	1.396	13.2
67.77	1.383	13.0
68.75	1.365	12.1

Crystal structure
Cell: 4.5353 25.6141 4.5939 Å, 90.00 90.00 90.00°
Space group Cmmm (No. 65)
Unique sites:
1 Tb 0.0000 0.1880 0.0000
2 Gd 0.0000 0.0000 0.0000
3 Sn 0.0000 0.0986 0.5000
4 Sn 0.0000 0.2906 0.5000
5 Sn 0.0000 0.4023 0.0000
6 Pb 0.0000 0.5000 0.5000


Record 3
ZnNi6Sb: calculated X-ray powder pattern (Cu Kα X-rays), based on DFT lattice parameters and positions (GGA-PBE).

Peak list (12 most intense, 2θ from 10° to 80°, low angle first)
2theta	d (Å)	I/Imax
19.75	4.495	3.3
21.33	4.165	1.2
29.23	3.055	6.5
34.56	2.595	1.8
40.12	2.248	25.4
40.98	2.203	1.3
43.46	2.082	26.3
45.88	1.978	100.0
53.97	1.699	1.4
60.62	1.528	14.1
71.69	1.316	1.2
72.90	1.298	15.1

Crystal structure
Cell: 5.1904 5.1904 4.1648 Å, 90.00 90.00 120.00°
Space group P-6m2 (No. 187)
Unique sites:
1 Zn 0.0000 0.0000 0.0000
2 Ni 0.3363 0.1681 0.5000
3 Ni 0.5071 0.0142 0.0000
4 Sb 0.3333 0.6667 0.5000


Record 4
Be3Hg2Mo2: calculated X-ray powder pattern (Cu Kα X-rays), based on DFT lattice parameters and positions (GGA-PBE).

Peak list (12 most intense, 2θ from 10° to 80°, low angle first)
2theta	d (Å)	I/Imax
26.36	3.380	23.2
30.54	2.928	100.0
43.73	2.070	84.6
51.77	1.766	9.3
51.85	1.763	3.0
54.24	1.691	20.1
54.37	1.687	6.4
63.56	1.464	13.8
70.01	1.344	3.9
70.16	1.341	1.2
72.09	1.310	17.3
72.21	1.308	16.5

Crystal structure
Cell: 4.1437 4.1437 20.2482 Å, 90.00 90.00 120.00°
Space group R3m (No. 160, hexagonal axes)
Unique sites:
1 Be 0.0000 0.0000 0.0000
2 Be 0.0000 0.0000 0.2489
3 Be 0.0000 0.0000 0.4979
4 Hg 0.0000 0.0000 0.1214
5 Hg 0.0000 0.0000 0.6273
6 Mo 0.0000 0.0000 0.3765
7 Mo 0.0000 0.0000 0.8716


Record 5
K2CdAu4S4: calculated X-ray powder pattern (Cu Kα X-rays), based on DFT lattice parameters and positions (GGA-PBE).

Peak list (12 most intense, 2θ from 10° to 80°, low angle first)
2theta	d (Å)	I/Imax
11.97	7.391	100.0
14.97	5.917	26.7
28.48	3.134	58.4
29.31	3.047	54.9
30.21	2.959	81.5
32.60	2.747	51.0
35.10	2.557	22.7
35.49	2.530	25.8
37.15	2.420	25.5
46.44	1.955	22.3
49.14	1.854	29.6
58.93	1.567	21.6

Crystal structure
Cell: 7.0822 10.7687 14.7819 Å, 90.00 90.00 90.00°
Space group Ibam (No. 72)
Unique sites:
1 K 0.1618 0.1526 0.0000
2 Cd 0.0000 0.0000 0.2500
3 Au 0.0000 0.5000 0.1365
4 Au 0.2500 0.2500 0.2500
5 S 0.2183 0.1117 0.3706


Record 6
DyScNi2B2C2: calculated X-ray powder pattern (Cu Kα X-rays), based on DFT lattice parameters and positions (GGA-PBE).

Peak list (12 most intense, 2θ from 10° to 80°, low angle first)
2theta	d (Å)	I/Imax
11.82	7.487	56.7
25.41	3.506	27.5
28.10	3.175	76.4
35.07	2.559	65.2
35.98	2.496	49.5
38.24	2.353	100.0
43.80	2.067	62.0
52.18	1.753	38.7
60.31	1.535	19.6
62.14	1.494	29.7
64.43	1.446	22.2
65.02	1.434	32.6

Crystal structure
Cell: 3.5059 3.5059 7.4874 Å, 90.00 90.00 90.00°
Space group P4mm (No. 99)
Unique sites:
1 Dy 0.0000 0.0000 0.0000
2 Sc 0.5000 0.5000 0.6817
3 Ni 0.0000 0.5000 0.3394
4 B 0.0000 0.0000 0.4847
5 B 0.5000 0.5000 0.1850
6 C 0.0000 0.0000 0.6829
7 C 0.5000 0.5000 0.9842


Record 7
DyErH2I4: calculated X-ray powder pattern (Cu Kα X-rays), based on DFT lattice parameters and positions (GGA-PBE).

Peak list (12 most intense, 2θ from 10° to 80°, low angle first)
2theta	d (Å)	I/Imax
10.65	8.305	76.2
26.45	3.370	52.3
28.07	3.179	53.7
30.59	2.923	41.0
33.83	2.650	100.0
37.64	2.390	18.9
43.59	2.076	17.0
45.67	1.987	44.8
58.03	1.589	21.2
64.97	1.435	30.9
73.77	1.284	17.4
76.80	1.241	18.7

Crystal structure
Cell: 3.9734 3.9734 16.6096 Å, 90.00 90.00 120.00°
Space group P-6m2 (No. 187)
Unique sites:
1 Dy 0.0000 0.0000 0.0000
2 Er 0.0000 0.0000 0.5000
3 H 0.3333 0.6667 0.5000
4 H 0.6667 0.3333 0.0000
5 I 0.3333 0.6667 0.1272
6 I 0.6667 0.3333 0.3732


Record 8
Nb2Bi2PbO9: calculated X-ray powder pattern (Cu Kα X-rays), based on DFT lattice parameters and positions (GGA-PBE).

Peak list (12 most intense, 2θ from 10° to 80°, low angle first)
2theta	d (Å)	I/Imax
14.29	6.200	10.3
29.00	3.079	100.0
32.24	2.776	37.6
36.22	2.480	13.5
46.24	1.963	21.7
49.27	1.850	24.1
55.52	1.655	33.9
60.11	1.539	12.8
60.79	1.524	11.4
67.47	1.388	6.8
75.06	1.265	7.2
79.65	1.204	10.8

Crystal structure
Cell: 3.9263 3.9263 24.7997 Å, 90.00 90.00 90.00°
Space group I4/mmm (No. 139)
Unique sites:
1 Nb 0.0000 0.0000 0.0886
2 Bi 0.0000 0.0000 0.2996
3 Pb 0.0000 0.0000 0.5000
4 O 0.0000 0.0000 0.0000
5 O 0.0000 0.0000 0.1650
6 O 0.0000 0.5000 0.0805
7 O 0.0000 0.5000 0.2500